Starting from a structure optimized by DFT (GGA+U), the powder diffractogram of Be2Ni2PtO6 was calculated for Cu Ka.
Intensities are scaled so that the largest is 100.

The 12 most intense peaks (2θ = 15–90°), low angle first:
d/Å, 2theta, Rel. int., hkl
4.241, 20.95, 19, 1 0 0
3.203, 27.86, 100, 0 1 1
2.448, 36.72, 39, 1 1 0
2.118, 42.69, 18, 1 0 2
1.945, 46.70, 26, 2 0 1
1.729, 52.95, 33, 2 -1 2
1.523, 60.82, 23, 1 2 1
1.520, 60.94, 11, 0 1 3
1.414, 66.10, 11, 3 0 0
1.224, 78.09, 9, 2 2 0
1.144, 84.78, 9, 4 -1 1
1.142, 84.88, 8, 3 -2 3

Structural model:
Lattice parameters (Å, degrees): 4.8968 4.8968 4.8859 90.00 90.00 120.00
Space group P-3 (No. 147)
Symmetry-distinct sites (fractional):
1 Be 0.3333 0.6667 0.4262
2 Ni 0.3333 0.6667 0.9553
3 Pt 0.0000 0.0000 0.5000
4 O 0.0245 0.6575 0.2794